[1]
Starting from a crystal structure in the Materials Project, relaxed with PBE, the powder diffractogram of Bi14PdBr16 was computed for copper Kα.

Atomic structure:
Cell: 11.1188 11.2651 11.3205 Å, 118.51 108.53 92.01°
Fractional positions:
Bi: 0.0063 0.3097 0.2045
Bi: 0.0129 0.8016 0.5915
Bi: 0.1355 0.4367 0.7343
Bi: 0.1677 0.6164 0.3991
Bi: 0.2478 0.3967 0.4944
Bi: 0.3454 0.8970 0.2845
Bi: 0.3818 0.1624 0.0299
Bi: 0.6182 0.8376 0.9701
Bi: 0.6546 0.1030 0.7155
Bi: 0.7522 0.6033 0.5056
Bi: 0.8323 0.3836 0.6009
Bi: 0.8645 0.5633 0.2657
Bi: 0.9871 0.1984 0.4085
Bi: 0.9937 0.6903 0.7955
Pd: 0.0000 0.5000 0.5000
Br: 0.1432 0.1758 0.8665
Br: 0.1670 0.6432 0.1014
Br: 0.1973 0.9735 0.4512
Br: 0.2082 0.0120 0.1121
Br: 0.3738 0.8856 0.7966
Br: 0.4262 0.4204 0.2828
Br: 0.4799 0.7160 0.0666
Br: 0.4931 0.8100 0.4801
Br: 0.5069 0.1900 0.5199
Br: 0.5201 0.2840 0.9334
Br: 0.5738 0.5796 0.7172
Br: 0.6262 0.1144 0.2034
Br: 0.7918 0.9880 0.8879
Br: 0.8027 0.0265 0.5488
Br: 0.8330 0.3568 0.8986
Br: 0.8568 0.8242 0.1335

Peak list (10 most intense, 10 to 80 degrees two-theta, by intensity)
36.04°, intensity 100
15.18°, intensity 95
11.08°, intensity 82
19.23°, intensity 82
31.11°, intensity 71
17.75°, intensity 70
13.93°, intensity 70
30.62°, intensity 70
19.75°, intensity 67
26.33°, intensity 65


[2]
Starting from a crystal structure in the Materials Project, relaxed with PBE, the powder diffractogram of Rb3BiBr6 was computed for copper Kα.

Atomic structure:
Cell: 8.6579 8.6579 8.6579 Å, 60.00 60.00 60.00°
Fractional positions:
Rb: 0.0000 0.0000 0.0000
Rb: 0.2500 0.2500 0.2500
Rb: 0.7500 0.7500 0.7500
Bi: 0.5000 0.5000 0.5000
Br: 0.2658 0.2658 0.7342
Br: 0.2658 0.7342 0.2658
Br: 0.2658 0.7342 0.7342
Br: 0.7342 0.2658 0.2658
Br: 0.7342 0.2658 0.7342
Br: 0.7342 0.7342 0.2658

Peak list (10 most intense, 10 to 80 degrees two-theta, by intensity)
29.17°, intensity 100
41.73°, intensity 73
20.52°, intensity 49
14.47°, intensity 48
68.55°, intensity 31
25.20°, intensity 30
12.52°, intensity 29
51.73°, intensity 25
32.71°, intensity 25
35.93°, intensity 22